(1)
For Fe2O2F5, a DFT-relaxed cell (PBE+U, the Materials Project) gives the calculated powder diffraction line list in this record (CuKα).

Structural model:
```
Fe2O2F5
1.0
-3.731 5.512 3.245
3.731 -5.512 3.245
3.731 5.512 -3.245
Fe O F
4 4 10
Direct
0.000 0.000 0.000 Fe
0.500 0.000 0.000 Fe
0.500 0.000 0.500 Fe
0.500 0.500 0.500 Fe
0.156 0.708 0.449 O
0.241 0.292 0.949 O
0.759 0.708 0.051 O
0.844 0.292 0.551 O
0.174 0.237 0.311 F
0.174 0.863 0.937 F
0.404 0.654 0.750 F
0.426 0.237 0.563 F
0.426 0.863 0.189 F
0.574 0.137 0.811 F
0.574 0.763 0.437 F
0.596 0.346 0.250 F
0.826 0.137 0.063 F
0.826 0.763 0.689 F
```

Top 6 peaks for 15° ≤ 2θ ≤ 90°, in order of rising 2θ:
d 5.593, 2θ = 15.85°, intensity 100
d 4.897, 2θ = 18.11°, intensity 49
d 3.661, 2θ = 24.31°, intensity 42
d 3.104, 2θ = 28.76°, intensity 28
d 3.090, 2θ = 28.90°, intensity 51
d 1.830, 2θ = 49.82°, intensity 28



(2)
For Fe5O3F7, a DFT-relaxed cell (PBE+U, the Materials Project) gives the calculated powder diffraction line list in this record (CuKα).

Structural model:
```
Fe5O3F7
1.0
3.445 -3.364 0.000
3.445 3.364 0.000
-0.030 0.000 15.715
Fe O F
10 6 14
Direct
0.000 0.000 0.000 Fe
0.478 0.469 0.105 Fe
0.518 0.474 0.700 Fe
0.522 0.478 0.500 Fe
0.526 0.482 0.300 Fe
0.531 0.522 0.895 Fe
0.968 0.011 0.808 Fe
0.985 0.013 0.398 Fe
0.987 0.015 0.602 Fe
0.989 0.032 0.192 Fe
0.176 0.173 0.096 O
0.683 0.315 0.600 O
0.685 0.317 0.400 O
0.693 0.302 0.205 O
0.698 0.307 0.795 O
0.827 0.824 0.904 O
0.195 0.202 0.706 F
0.197 0.206 0.295 F
0.198 0.204 0.901 F
0.201 0.210 0.500 F
0.285 0.708 0.210 F
0.292 0.715 0.790 F
0.302 0.697 0.599 F
0.303 0.698 0.401 F
0.304 0.696 0.000 F
0.704 0.296 0.000 F
0.790 0.799 0.500 F
0.794 0.803 0.705 F
0.796 0.802 0.099 F
0.798 0.805 0.294 F
```

Top 6 peaks for 15° ≤ 2θ ≤ 90°, in order of rising 2θ:
d 3.445, 2θ = 25.86°, intensity 96
d 3.364, 2θ = 26.49°, intensity 91
d 2.632, 2θ = 34.07°, intensity 100
d 1.788, 2θ = 51.09°, intensity 59
d 1.765, 2θ = 51.80°, intensity 53
d 1.428, 2θ = 65.32°, intensity 26